No. 1
Structure and theoretical powder diffraction line list of LiMg14BO15 (a structure optimized by DFT (GGA-PBE); Cu Kα, 1.54184 Å).

Largest 6 diffraction maxima, sorted by position, 2θ = 10–90°:
hkl 0 0 4, 42.0°, I = 96; hkl 2 0 0, 42.2°, I = 100; hkl 0 4 0, 43.3°, I = 78; hkl 2 0 4, 61.0°, I = 54; hkl 0 4 4, 61.9°, I = 44; hkl 2 4 0, 62.0°, I = 46

Structure:
abc: 4.2843 8.3579 8.6078
angles: 90.00 90.00 90.00
Space group Pmm2 (No. 25)
Symmetry-distinct sites (fractional):
Li (0.0000, 0.0000, 0.0000) x1
Mg (0.0000, 0.0000, 0.4902) x1
Mg (0.0000, 0.2438, 0.2419) x2
Mg (0.0000, 0.2627, 0.7429) x2
Mg (0.0000, 0.5000, 0.4901) x1
Mg (0.5000, 0.0000, 0.2333) x1
Mg (0.5000, 0.0000, 0.7521) x1
Mg (0.5000, 0.2492, 0.4916) x2
Mg (0.5000, 0.2595, 0.9924) x2
Mg (0.5000, 0.5000, 0.2392) x1
Mg (0.5000, 0.5000, 0.7516) x1
B (0.0000, 0.5000, 0.0489) x1
O (0.0000, 0.0000, 0.2368) x1
O (0.0000, 0.2508, 0.4837) x2
O (0.0000, 0.3297, 0.9985) x2
O (0.0000, 0.5000, 0.2228) x1
O (0.0000, 0.5000, 0.7175) x1
O (0.5000, 0.0000, 0.4899) x1
O (0.5000, 0.0000, 0.9928) x1
O (0.5000, 0.2497, 0.2383) x2
O (0.5000, 0.2530, 0.7456) x2
O (0.5000, 0.5000, 0.0028) x1
O (0.5000, 0.5000, 0.4785) x1

No. 2
Structure and theoretical powder diffraction line list of MgAgP (a structure optimized by DFT (GGA-PBE); Cu Kα, 1.54184 Å).

Largest 6 diffraction maxima, sorted by position, 2θ = 10–90°:
hkl 1 1 0, 18.3°, I = 100; hkl 1 1 -1, 25.3°, I = 82; hkl 0 2 1, 32.3°, I = 60; hkl 3 1 0, 40.5°, I = 90; hkl 2 2 1, 41.6°, I = 45; hkl 1 3 -1, 46.5°, I = 37

Structure:
abc: 7.0852 6.6320 5.0574
angles: 90.00 91.35 90.00
Space group C2 (No. 5)
Symmetry-distinct sites (fractional):
Mg (0.1462, 0.0000, 0.2374) x4
Ag (0.0000, 0.4090, 0.5000) x2
Ag (0.0000, 0.6135, 0.0000) x2
P (0.2072, 0.1227, 0.7357) x4

No. 3
Structure and theoretical powder diffraction line list of Sm8Y3Th2 (a structure optimized by DFT (GGA-PBE); Cu Kα, 1.54184 Å).

Largest 6 diffraction maxima, sorted by position, 2θ = 10–90°:
hkl 2 -1 1, 29.1°, I = 27; hkl -1 3 1, 31.0°, I = 100; hkl 0 1 5, 31.3°, I = 48; hkl 1 2 -3, 31.5°, I = 43; hkl 1 -2 4, 31.7°, I = 29; hkl -2 1 4, 32.5°, I = 56

Structure:
abc: 6.5880 8.8870 16.1742
angles: 92.31 100.49 108.95
Space group P-1 (No. 2)
Symmetry-distinct sites (fractional):
Sm (0.0121, 0.2433, 0.1839) x2
Sm (0.0317, 0.3959, 0.9155) x2
Sm (0.1570, 0.8652, 0.6226) x2
Sm (0.2531, 0.2278, 0.5753) x2
Sm (0.2584, 0.5455, 0.7271) x2
Sm (0.3998, 0.0322, 0.1974) x2
Sm (0.4084, 0.3424, 0.4016) x2
Sm (0.4233, 0.8012, 0.9985) x2
Y (0.0000, 0.0000, 0.0000) x1
Y (0.0000, 0.5000, 0.5000) x1
Y (0.1787, 0.1551, 0.7877) x2
Y (0.2865, 0.6375, 0.2783) x2
Th (0.2837, 0.9271, 0.4202) x2
Th (0.4200, 0.4730, 0.1009) x2

No. 4
Structure and theoretical powder diffraction line list of Cs2SmHF6 (a structure optimized by DFT (GGA-PBE); Cu Kα, 1.54184 Å).

Largest 6 diffraction maxima, sorted by position, 2θ = 10–90°:
hkl 1 1 1, 17.3°, I = 54; hkl 0 2 2, 23.9°, I = 84; hkl 2 2 0, 30.4°, I = 100; hkl 0 0 4, 34.0°, I = 31; hkl 0 4 0, 34.2°, I = 30; hkl 2 4 2, 46.3°, I = 57

Structure:
abc: 7.1065 10.5014 10.5448
angles: 90.00 90.00 90.00
Space group Fmmm (No. 69)
Symmetry-distinct sites (fractional):
Cs (0.2500, 0.2500, 0.2500) x8
Sm (0.0000, 0.0000, 0.0000) x4
H (0.0000, 0.0000, 0.5000) x4
F (0.0000, 0.0000, 0.2099) x8
F (0.0000, 0.2108, 0.0000) x8
F (0.1644, 0.0000, 0.5000) x8

No. 5
Structure and theoretical powder diffraction line list of Nd4InGa (a structure optimized by DFT (GGA-PBE); Cu Kα, 1.54184 Å).

Largest 6 diffraction maxima, sorted by position, 2θ = 10–90°:
hkl 1 0 1, 20.8°, I = 22; hkl 1 1 0, 24.2°, I = 31; hkl 1 1 2, 34.2°, I = 100; hkl 2 0 0, 34.5°, I = 50; hkl 2 2 0, 49.7°, I = 18; hkl 3 1 2, 61.7°, I = 36

Structure:
abc: 5.1929 5.1929 7.4863
angles: 90.00 90.00 90.00
Space group P4/mmm (No. 123)
Symmetry-distinct sites (fractional):
Nd (0.0000, 0.5000, 0.2365) x4
In (0.0000, 0.0000, 0.5000) x1
Ga (0.5000, 0.5000, 0.0000) x1

No. 6
Structure and theoretical powder diffraction line list of Cs2In2Sb2O (a structure optimized by DFT (GGA-PBE); Cu Kα, 1.54184 Å).

Largest 6 diffraction maxima, sorted by position, 2θ = 10–90°:
hkl 0 2 1, 24.9°, I = 30; hkl 1 1 -1, 28.1°, I = 100; hkl -1 1 1, 28.9°, I = 33; hkl 1 2 2, 29.0°, I = 33; hkl 0 1 3, 32.0°, I = 33; hkl 2 1 1, 39.8°, I = 25

Structure:
abc: 4.5315 7.5297 8.7138
angles: 67.24 74.95 72.77
Space group P-1 (No. 2)
Symmetry-distinct sites (fractional):
Cs (0.0257, 0.2032, 0.2408) x2
In (0.3314, 0.6945, 0.1461) x2
Sb (0.2778, 0.3619, 0.5803) x2
O (0.5000, 0.5000, 0.0000) x1

No. 7
Structure and theoretical powder diffraction line list of DyAsO3 (a structure optimized by DFT (GGA-PBE); Cu Kα, 1.54184 Å).

Largest 6 diffraction maxima, sorted by position, 2θ = 10–90°:
hkl 1 0 1, 19.9°, I = 100; hkl 0 1 2, 27.4°, I = 42; hkl 1 1 0, 29.2°, I = 88; hkl 2 0 2, 40.4°, I = 22; hkl 1 1 3, 44.2°, I = 65; hkl 0 3 3, 62.4°, I = 24

Structure:
abc: 6.1266 6.1266 8.2673
angles: 90.00 90.00 120.00
Space group R3m (No. 160, hexagonal axes)
Symmetry-distinct sites (fractional):
Dy (0.0000, 0.0000, 0.0000) x3
As (0.0000, 0.0000, 0.3525) x3
O (0.1909, 0.3817, 0.8948) x9

No. 8
Structure and theoretical powder diffraction line list of Ti6CN2 (a structure optimized by DFT (GGA-PBE); Cu Kα, 1.54184 Å).

Largest 6 diffraction maxima, sorted by position, 2θ = 10–90°:
hkl 2 0 0, 36.1°, I = 36; hkl 1 1 3, 38.9°, I = 100; hkl 2 1 0, 40.5°, I = 31; hkl 2 2 0, 51.9°, I = 15; hkl 3 0 3, 63.7°, I = 19; hkl 3 1 3, 66.8°, I = 15

Structure:
abc: 4.9804 4.9804 9.2087
angles: 90.00 90.00 90.00
Space group P4_2/mnm (No. 136)
Symmetry-distinct sites (fractional):
Ti (0.2016, 0.2016, 0.0000) x4
Ti (0.2029, 0.2029, 0.3306) x8
C (0.0000, 0.0000, 0.5000) x2
N (0.0000, 0.0000, 0.1659) x4